Simulated X-ray diffraction stick pattern of Y2Si5Ni3 for copper Kα, from a structure optimized by DFT (GGA-PBE).
Neutral-atom scattering factors, no anomalous dispersion.

Atomic structure:
abc: 7.8746 7.8746 7.8746
angles: 104.99 89.97 137.88
Element x y z (fractional)
Y 0.1311 0.2368 0.3679
Y 0.3689 0.7368 0.1058
Y 0.6311 0.2632 0.8942
Y 0.8689 0.7632 0.6321
Si 0.0165 0.7500 0.2665
Si 0.1075 0.6524 0.7599
Si 0.2500 0.2500 0.0000
Si 0.3925 0.1524 0.5449
Si 0.4835 0.7500 0.7335
Si 0.5165 0.2500 0.2665
Si 0.6075 0.8476 0.4551
Si 0.7500 0.7500 0.0000
Si 0.8925 0.3476 0.2401
Si 0.9835 0.2500 0.7335
Ni 0.1342 0.8880 0.0222
Ni 0.2500 0.7500 0.5000
Ni 0.3658 0.3880 0.7538
Ni 0.6342 0.6120 0.2462
Ni 0.7500 0.2500 0.5000
Ni 0.8658 0.1120 0.9778

Most intense lines, 2θ = 10–80°, in order of rising 2θ:
2theta, Rel. int.
31.6, 19
32.1, 17
36.1, 100
36.9, 56
37.3, 51
45.7, 70
53.0, 25
59.3, 22
59.9, 20
67.3, 17



Simulated X-ray diffraction stick pattern of YSi2Ni for copper Kα, from a structure optimized by DFT (GGA-PBE).
Neutral-atom scattering factors, no anomalous dispersion.

Atomic structure:
abc: 8.4899 8.4899 3.9584
angles: 90.00 90.00 152.78
Element x y z (fractional)
Y 0.1056 0.8944 0.7500
Y 0.8944 0.1056 0.2500
Si 0.2502 0.7498 0.2500
Si 0.4600 0.5400 0.7500
Si 0.5400 0.4600 0.2500
Si 0.7498 0.2502 0.7500
Ni 0.3225 0.6775 0.7500
Ni 0.6775 0.3225 0.2500

Most intense lines, 2θ = 10–80°, in order of rising 2θ:
2theta, Rel. int.
31.3, 35
32.3, 83
35.3, 83
35.9, 100
39.9, 39
45.4, 41
45.8, 40
55.1, 25
59.1, 35
66.5, 25



Simulated X-ray diffraction stick pattern of Y3Si2Ni6 for copper Kα, from a structure optimized by DFT (GGA-PBE).
Neutral-atom scattering factors, no anomalous dispersion.

Atomic structure:
abc: 7.6035 7.6035 7.6035
angles: 109.47 109.47 109.47
Element x y z (fractional)
Y 0.0000 0.2855 0.2855
Y 0.0000 0.7145 0.7145
Y 0.2855 0.0000 0.2855
Y 0.2855 0.2855 0.0000
Y 0.7145 0.0000 0.7145
Y 0.7145 0.7145 0.0000
Si 0.0000 0.0000 0.5000
Si 0.0000 0.5000 0.0000
Si 0.5000 0.0000 0.0000
Si 0.5000 0.5000 0.5000
Ni 0.0000 0.3302 0.6698
Ni 0.0000 0.6698 0.3302
Ni 0.3302 0.0000 0.6698
Ni 0.3302 0.3302 0.6603
Ni 0.3302 0.6603 0.3302
Ni 0.3302 0.6698 0.0000
Ni 0.3397 0.6698 0.6698
Ni 0.6603 0.3302 0.3302
Ni 0.6698 0.0000 0.3302
Ni 0.6698 0.3302 0.0000
Ni 0.6698 0.3397 0.6698
Ni 0.6698 0.6698 0.3397

Most intense lines, 2θ = 10–80°, in order of rising 2θ:
2theta, Rel. int.
14.3, 9
28.8, 12
32.2, 22
35.4, 12
38.4, 33
41.1, 16
43.7, 100
63.6, 10
65.5, 17
71.2, 14



Simulated X-ray diffraction stick pattern of YSi2Ni2 for copper Kα, from a structure optimized by DFT (GGA-PBE).
Neutral-atom scattering factors, no anomalous dispersion.

Atomic structure:
abc: 5.5489 5.5489 5.5489
angles: 138.01 138.01 60.89
Element x y z (fractional)
Y 0.0000 0.0000 0.0000
Si 0.3731 0.3731 0.0000
Si 0.6269 0.6269 0.0000
Ni 0.2500 0.7500 0.5000
Ni 0.7500 0.2500 0.5000

Most intense lines, 2θ = 10–80°, in order of rising 2θ:
2theta, Rel. int.
24.2, 16
36.1, 39
37.1, 100
37.6, 13
45.6, 43
59.5, 17
60.6, 12
66.5, 13
67.5, 16
78.7, 20



What is the formula in the first record?
Y2Si5Ni3



Number 2 is which compound?
YSi2Ni



Please write out number 4 again, unchanged.
Simulated X-ray diffraction stick pattern of YSi2Ni2 for copper Kα, from a structure optimized by DFT (GGA-PBE).
Neutral-atom scattering factors, no anomalous dispersion.

Atomic structure:
abc: 5.5489 5.5489 5.5489
angles: 138.01 138.01 60.89
Element x y z (fractional)
Y 0.0000 0.0000 0.0000
Si 0.3731 0.3731 0.0000
Si 0.6269 0.6269 0.0000
Ni 0.2500 0.7500 0.5000
Ni 0.7500 0.2500 0.5000

Most intense lines, 2θ = 10–80°, in order of rising 2θ:
2theta, Rel. int.
24.2, 16
36.1, 39
37.1, 100
37.6, 13
45.6, 43
59.5, 17
60.6, 12
66.5, 13
67.5, 16
78.7, 20